Diffraction record for PrGePd2. The powder diffractogram is simulated, not measured: it uses a DFT-relaxed cell (GGA-PBE, Alexandria) and Cu Kα.

Most intense lines, 2θ from 10° to 90°, in order of rising 2θ:
2θ (°)	d [Å]	I/Imax	(hkl)
30.61	2.921	51	2 1 1
31.77	2.816	39	1 2 1
33.11	2.706	31	1 0 2
34.36	2.610	68	2 2 0
35.50	2.529	100	1 1 2
37.82	2.379	58	2 2 1
38.38	2.345	70	3 0 1
41.98	2.152	36	1 2 2
42.92	2.107	44	1 3 1
62.14	1.494	25	4 3 0

Structural model:
```
data_PrGePd2
_chemical_formula_sum 'Pr4 Ge4 Pd8'
_symmetry_space_group_name_H-M 'P n m a'
_symmetry_Int_Tables_number 62
_symmetry_space_group_name_Hall '-P 2ac 2n'
_cell_length_a 7.6988
_cell_length_b 7.1034
_cell_length_c 5.7803
_cell_angle_alpha 90.00
_cell_angle_beta 90.00
_cell_angle_gamma 90.00
loop_
_atom_site_label
_atom_site_fract_x
_atom_site_fract_y
_atom_site_fract_z
_atom_site_occupancy
Pr1 0.0317 0.2500 0.1475 1
Ge1 0.1224 0.7500 0.3508 1
Pd1 0.1773 0.0526 0.5894 1
```

Diffraction record for PrGe2Pd9. The powder diffractogram is simulated, not measured: it uses a DFT-relaxed cell (GGA-PBE, Alexandria) and Cu Kα.

Most intense lines, 2θ from 10° to 90°, in order of rising 2θ:
2θ (°)	d [Å]	I/Imax	(hkl)
32.26	2.775	22	3 2 1
36.64	2.453	66	4 2 0
37.12	2.422	100	3 1 2
40.84	2.209	27	1 0 3
42.43	2.130	15	4 0 2
43.36	2.087	79	5 0 1
44.19	2.049	18	2 1 3
45.69	1.986	28	4 2 2
66.28	1.410	26	5 5 2
77.90	1.226	16	8 4 0

Structural model:
```
data_PrGe2Pd9
_chemical_formula_sum 'Pr4 Ge8 Pd36'
_symmetry_space_group_name_H-M 'I 41/a m d'
_symmetry_Int_Tables_number 141
_cell_length_a 10.9689
_cell_length_b 10.9689
_cell_length_c 6.7669
_cell_angle_alpha 90.00
_cell_angle_beta 90.00
_cell_angle_gamma 90.00
loop_
_symmetry_equiv_pos_as_xyz
'x,y,z'
'-x,-y,-z'
'-y+1/4,x+3/4,z+1/4'
'y+1/4,-x+3/4,-z+1/4'
'-x+1/2,-y,z+1/2'
'x+1/2,y,-z+1/2'
'y+1/4,-x+1/4,z+3/4'
'-y+1/4,x+1/4,-z+3/4'
'x,-y,-z'
'-x,y,z'
'-y+1/4,-x+1/4,-z+3/4'
'y+1/4,x+1/4,z+3/4'
'-x+1/2,y,-z+1/2'
'x+1/2,-y,z+1/2'
'y+1/4,x+3/4,-z+1/4'
'-y+1/4,-x+3/4,z+1/4'
'x+1/2,y+1/2,z+1/2'
'-x+1/2,-y+1/2,-z+1/2'
'-y+3/4,x+1/4,z+3/4'
'y+3/4,-x+1/4,-z+3/4'
'-x,-y+1/2,z'
'x,y+1/2,-z'
'y+3/4,-x+3/4,z+1/4'
'-y+3/4,x+3/4,-z+1/4'
'x+1/2,-y+1/2,-z+1/2'
'-x+1/2,y+1/2,z+1/2'
'-y+3/4,-x+3/4,-z+1/4'
'y+3/4,x+3/4,z+1/4'
'-x,y+1/2,-z'
'x,-y+1/2,z'
'y+3/4,x+1/4,-z+3/4'
'-y+3/4,-x+1/4,z+3/4'
loop_
_atom_site_label
_atom_site_fract_x
_atom_site_fract_y
_atom_site_fract_z
_atom_site_occupancy
Pr1 0.0000 0.2500 0.3750 1
Ge1 0.0000 0.0000 0.0000 1
Pd1 0.0000 0.2500 0.8750 1
Pd2 0.1227 0.0538 0.6817 1
```

Diffraction record for Pr2TlGe3Pd4. The powder diffractogram is simulated, not measured: it uses a DFT-relaxed cell (GGA-PBE, Alexandria) and Cu Kα.

Most intense lines, 2θ from 10° to 90°, in order of rising 2θ:
2θ (°)	d [Å]	I/Imax	(hkl)
32.38	2.765	35	1 0 3
33.42	2.681	100	1 1 2
41.20	2.191	53	2 0 0
44.77	2.024	20	1 1 4
47.29	1.922	19	1 0 5
53.34	1.717	17	2 1 3
59.67	1.549	17	2 2 0
59.87	1.545	9	1 1 6
64.49	1.445	15	2 1 5
70.16	1.341	26	3 1 2

Structural model:
```
data_Pr2TlGe3Pd4
_chemical_formula_sum 'Pr2 Tl1 Ge3 Pd4'
_symmetry_space_group_name_H-M 'P -4 m 2'
_symmetry_Int_Tables_number 115
_symmetry_space_group_name_Hall 'P -4 -2'
_cell_length_a 4.3825
_cell_length_b 4.3825
_cell_length_c 10.6931
_cell_angle_alpha 90.00
_cell_angle_beta 90.00
_cell_angle_gamma 90.00
loop_
_atom_site_label
_atom_site_fract_x
_atom_site_fract_y
_atom_site_fract_z
_atom_site_occupancy
Pr1 0.0000 0.5000 0.2389 1
Tl1 0.0000 0.0000 0.5000 1
Ge1 0.0000 0.5000 0.8794 1
Ge2 0.5000 0.5000 0.5000 1
Pd1 0.0000 0.0000 0.0000 1
Pd2 0.0000 0.5000 0.6514 1
Pd3 0.5000 0.5000 0.0000 1
```

Diffraction record for Pr2ZnGePd6. The powder diffractogram is simulated, not measured: it uses a DFT-relaxed cell (GGA-PBE, Alexandria) and Cu Kα.

Most intense lines, 2θ from 10° to 90°, in order of rising 2θ:
2θ (°)	d [Å]	I/Imax	(hkl)
23.78	3.742	38	0 0 2
26.79	3.328	35	1 1 -1
33.27	2.693	17	1 1 3
33.52	2.674	16	1 -1 1
37.14	2.421	77	2 0 0
39.64	2.273	27	2 1 3
39.75	2.268	100	2 2 0
44.29	2.045	29	0 1 -3
49.00	1.859	17	2 0 -2
65.18	1.431	30	2 -2 0

Structural model:
```
data_Pr2ZnGePd6
_chemical_formula_sum 'Pr2 Zn1 Ge1 Pd6'
_symmetry_space_group_name_H-M 'P -1'
_symmetry_Int_Tables_number 2
_symmetry_space_group_name_Hall '-P 1'
_cell_length_a 5.7220
_cell_length_b 5.7234
_cell_length_c 8.1752
_cell_angle_alpha 69.61
_cell_angle_beta 69.59
_cell_angle_gamma 60.08
loop_
_atom_site_label
_atom_site_fract_x
_atom_site_fract_y
_atom_site_fract_z
_atom_site_occupancy
Pr1 0.2116 0.2097 0.3712 1
Zn1 0.5000 0.5000 0.5000 1
Ge1 0.0000 0.0000 0.0000 1
Pd1 0.2463 0.7365 0.7653 1
Pd2 0.2470 0.2489 0.7631 1
Pd3 0.2630 0.7527 0.2352 1
```

Diffraction record for Ge2Pd3Pt3. The powder diffractogram is simulated, not measured: it uses a DFT-relaxed cell (GGA-PBE, Alexandria) and Cu Kα.

Most intense lines, 2θ from 10° to 90°, in order of rising 2θ:
2θ (°)	d [Å]	I/Imax	(hkl)
20.70	4.291	19	1 1 0
32.32	2.770	26	3 1 -1
36.87	2.438	54	2 0 -2
38.71	2.326	56	0 2 0
40.20	2.243	100	3 1 1
44.14	2.052	71	5 1 -1
54.53	1.683	35	2 2 -2
65.80	1.419	18	1 1 3
71.07	1.326	19	3 3 1
80.62	1.192	17	8 2 0

Structural model:
```
data_Ge2Pd3Pt3
_chemical_formula_sum 'Ge4 Pd6 Pt6'
_symmetry_space_group_name_H-M 'C 1 2/m 1'
_symmetry_Int_Tables_number 12
_symmetry_space_group_name_Hall '-C 2y'
_cell_length_a 11.6212
_cell_length_b 4.6524
_cell_length_c 4.9181
_cell_angle_alpha 90.00
_cell_angle_beta 107.26
_cell_angle_gamma 90.00
loop_
_atom_site_label
_atom_site_fract_x
_atom_site_fract_y
_atom_site_fract_z
_atom_site_occupancy
Ge1 0.2470 0.0000 0.2367 1
Pd1 0.0000 0.0000 0.0000 1
Pd2 0.1336 0.0000 0.5844 1
Pt1 0.0000 0.5000 0.5000 1
Pt2 0.1280 0.5000 0.0879 1
```

Diffraction record for GePd9Pt4. The powder diffractogram is simulated, not measured: it uses a DFT-relaxed cell (GGA-PBE, Alexandria) and Cu Kα.

Most intense lines, 2θ from 10° to 90°, in order of rising 2θ:
2θ (°)	d [Å]	I/Imax	(hkl)
12.99	6.817	26	1 0 0
28.25	3.159	11	2 0 1
41.10	2.196	100	2 1 2
41.69	2.167	19	2 0 3
42.97	2.105	15	0 0 4
46.13	1.968	8	2 2 0
69.48	1.353	14	3 0 5
71.98	1.312	10	3 3 0
72.94	1.297	11	5 0 2
87.65	1.113	9	3 3 4

Structural model:
```
data_GePd9Pt4
_chemical_formula_sum 'Ge2 Pd18 Pt8'
_symmetry_space_group_name_H-M 'P 63/m m c'
_symmetry_Int_Tables_number 194
_symmetry_space_group_name_Hall '-P 6c 2c'
_cell_length_a 7.8713
_cell_length_b 7.8713
_cell_length_c 8.4196
_cell_angle_alpha 90.00
_cell_angle_beta 90.00
_cell_angle_gamma 120.00
loop_
_atom_site_label
_atom_site_fract_x
_atom_site_fract_y
_atom_site_fract_z
_atom_site_occupancy
Ge1 0.3333 0.6667 0.2500 1
Pd1 0.0675 0.5337 0.7500 1
Pd2 0.2088 0.4177 0.0392 1
Pt1 0.0000 0.0000 0.0000 1
Pt2 0.1153 0.2305 0.7500 1
```

Diffraction record for GePd4Pt. The powder diffractogram is simulated, not measured: it uses a DFT-relaxed cell (GGA-PBE, Alexandria) and Cu Kα.

Most intense lines, 2θ from 10° to 90°, in order of rising 2θ:
2θ (°)	d [Å]	I/Imax	(hkl)
21.11	4.209	61	1 1 0
25.26	3.526	26	0 4 1
33.63	2.665	29	0 2 2
38.75	2.324	39	1 1 2
39.60	2.276	43	0 8 0
40.47	2.229	34	1 7 0
41.30	2.186	46	1 3 2
41.75	2.163	55	2 0 0
46.06	1.970	100	1 5 2
58.90	1.568	26	2 8 0

Structural model:
```
data_GePd4Pt
_chemical_formula_sum 'Ge4 Pd16 Pt4'
_symmetry_space_group_name_H-M 'C m c 21'
_symmetry_Int_Tables_number 36
_symmetry_space_group_name_Hall 'C 2c -2'
_cell_length_a 4.3265
_cell_length_b 18.2051
_cell_length_c 5.5750
_cell_angle_alpha 90.00
_cell_angle_beta 90.00
_cell_angle_gamma 90.00
loop_
_atom_site_label
_atom_site_fract_x
_atom_site_fract_y
_atom_site_fract_z
_atom_site_occupancy
Ge1 0.0000 0.1819 0.0000 1
Pd1 0.0000 0.0859 0.7037 1
Pd2 0.0000 0.2984 0.7320 1
Pd3 0.0000 0.3029 0.2244 1
Pd4 0.0000 0.4297 0.4864 1
Pt1 0.0000 0.4306 0.9550 1
```

Diffraction record for GePdPt3. The powder diffractogram is simulated, not measured: it uses a DFT-relaxed cell (GGA-PBE, Alexandria) and Cu Kα.

Most intense lines, 2θ from 10° to 90°, in order of rising 2θ:
2θ (°)	d [Å]	I/Imax	(hkl)
29.38	3.040	27	1 1 -2
33.74	2.657	32	2 1 1
36.58	2.456	50	3 1 -1
36.97	2.431	31	1 1 -3
38.35	2.347	72	3 1 -2
40.46	2.229	100	1 0 -4
42.90	2.108	20	3 1 -3
44.33	2.044	49	0 2 1
48.86	1.864	19	2 1 3
53.24	1.720	34	5 0 0

Structural model:
```
data_GePdPt3
_chemical_formula_sum 'Ge4 Pd4 Pt12'
_symmetry_space_group_name_H-M 'P 1 21/c 1'
_symmetry_Int_Tables_number 14
_symmetry_space_group_name_Hall '-P 2ybc'
_cell_length_a 9.0745
_cell_length_b 4.2113
_cell_length_c 8.9333
_cell_angle_alpha 90.00
_cell_angle_beta 108.46
_cell_angle_gamma 90.00
loop_
_atom_site_label
_atom_site_fract_x
_atom_site_fract_y
_atom_site_fract_z
_atom_site_occupancy
Ge1 0.1984 0.1338 0.3960 1
Pd1 0.1947 0.6075 0.1514 1
Pt1 0.0200 0.6196 0.3659 1
Pt2 0.3605 0.6286 0.4706 1
Pt3 0.4167 0.1175 0.2721 1
```

Diffraction record for GePd5Pt4. The powder diffractogram is simulated, not measured: it uses a DFT-relaxed cell (GGA-PBE, Alexandria) and Cu Kα.

Most intense lines, 2θ from 10° to 90°, in order of rising 2θ:
2θ (°)	d [Å]	I/Imax	(hkl)
15.04	5.890	21	2 0 -1
29.69	3.009	22	1 1 1
39.62	2.275	57	5 1 -1
40.70	2.217	33	4 0 -3
41.17	2.192	100	1 1 2
41.59	2.172	51	5 1 -2
44.62	2.031	28	6 0 0
45.31	2.001	40	0 2 0
62.53	1.485	19	4 2 -3
65.48	1.425	18	6 2 0

Structural model:
```
data_GePd5Pt4
_chemical_formula_sum 'Ge2 Pd10 Pt8'
_symmetry_space_group_name_H-M 'C 1 2/m 1'
_symmetry_Int_Tables_number 12
_symmetry_space_group_name_Hall '-C 2y'
_cell_length_a 13.8624
_cell_length_b 4.0029
_cell_length_c 6.7807
_cell_angle_alpha 90.00
_cell_angle_beta 118.49
_cell_angle_gamma 90.00
loop_
_atom_site_label
_atom_site_fract_x
_atom_site_fract_y
_atom_site_fract_z
_atom_site_occupancy
Ge1 0.0000 0.0000 0.0000 1
Pd1 0.0000 0.0000 0.5000 1
Pd2 0.1538 0.5000 0.6859 1
Pd3 0.1976 0.5000 0.1189 1
Pt1 0.0159 0.5000 0.2299 1
Pt2 0.1757 0.0000 0.4018 1
```

Diffraction record for Ge4Pd5Pt4. The powder diffractogram is simulated, not measured: it uses a DFT-relaxed cell (GGA-PBE, Alexandria) and Cu Kα.

Most intense lines, 2θ from 10° to 90°, in order of rising 2θ:
2θ (°)	d [Å]	I/Imax	(hkl)
12.39	7.142	19	1 1 0
29.86	2.992	13	2 1 1
35.55	2.525	14	4 0 0
39.28	2.293	100	3 2 1
43.33	2.088	10	1 4 1
45.42	1.997	20	0 0 2
45.81	1.981	21	1 5 0
66.49	1.406	14	1 5 2
72.07	1.311	15	7 2 1
79.75	1.202	13	3 2 3

Structural model:
```
data_Ge4Pd5Pt4
_chemical_formula_sum 'Ge8 Pd10 Pt8'
_symmetry_space_group_name_H-M 'I 4/m'
_symmetry_Int_Tables_number 87
_symmetry_space_group_name_Hall '-I 4'
_cell_length_a 10.1001
_cell_length_b 10.1001
_cell_length_c 3.9939
_cell_angle_alpha 90.00
_cell_angle_beta 90.00
_cell_angle_gamma 90.00
loop_
_atom_site_label
_atom_site_fract_x
_atom_site_fract_y
_atom_site_fract_z
_atom_site_occupancy
Ge1 0.0823 0.2394 0.0000 1
Pd1 0.0000 0.0000 0.0000 1
Pd2 0.1177 0.8107 0.5000 1
Pt1 0.0987 0.3903 0.5000 1
```

Diffraction record for Ge2PdPt. The powder diffractogram is simulated, not measured: it uses a DFT-relaxed cell (GGA-PBE, Alexandria) and Cu Kα.

Most intense lines, 2θ from 10° to 90°, in order of rising 2θ:
2θ (°)	d [Å]	I/Imax	(hkl)
26.35	3.383	57	0 1 0
26.85	3.321	59	1 0 0
27.14	3.286	61	1 1 0
31.76	2.818	37	1 1 1
42.50	2.127	100	0 1 -2
42.83	2.111	93	1 0 -2
43.02	2.102	89	1 1 2
46.63	1.948	53	1 -1 0
47.17	1.927	51	1 2 0
48.08	1.892	48	2 1 0

Structural model:
```
data_Ge2PdPt
_chemical_formula_sum 'Ge2 Pd1 Pt1'
_symmetry_space_group_name_H-M 'P -1'
_symmetry_Int_Tables_number 2
_symmetry_space_group_name_Hall '-P 1'
_cell_length_a 3.7849
_cell_length_b 3.8557
_cell_length_c 5.4712
_cell_angle_alpha 89.99
_cell_angle_beta 89.93
_cell_angle_gamma 61.32
loop_
_atom_site_label
_atom_site_fract_x
_atom_site_fract_y
_atom_site_fract_z
_atom_site_occupancy
Ge1 0.1678 0.1567 0.2556 1
Pd1 0.5000 0.5000 0.0000 1
Pt1 0.5000 0.5000 0.5000 1
```

Diffraction record for ThGe2PdPt2. The powder diffractogram is simulated, not measured: it uses a DFT-relaxed cell (GGA-PBE, Alexandria) and Cu Kα.

Most intense lines, 2θ from 10° to 90°, in order of rising 2θ:
2θ (°)	d [Å]	I/Imax	(hkl)
26.97	3.307	48	1 0 1
35.76	2.511	100	0 1 2
40.49	2.228	10	0 0 3
41.09	2.197	81	1 1 0
49.84	1.830	10	0 2 1
55.59	1.653	28	2 0 2
59.06	1.564	21	1 1 3
70.86	1.330	13	1 1 4
71.41	1.321	27	1 2 2
74.87	1.268	14	3 0 0

Structural model:
```
data_ThGe2PdPt2
_chemical_formula_sum 'Th1 Ge2 Pd1 Pt2'
_symmetry_space_group_name_H-M 'P -3 m 1'
_symmetry_Int_Tables_number 164
_symmetry_space_group_name_Hall '-P 3 2"'
_cell_length_a 4.3935
_cell_length_b 4.3935
_cell_length_c 6.6832
_cell_angle_alpha 90.00
_cell_angle_beta 90.00
_cell_angle_gamma 120.00
loop_
_atom_site_label
_atom_site_fract_x
_atom_site_fract_y
_atom_site_fract_z
_atom_site_occupancy
Th1 0.0000 0.0000 0.0000 1
Ge1 0.3333 0.6667 0.3013 1
Pd1 0.0000 0.0000 0.5000 1
Pt1 0.3333 0.6667 0.7057 1
```

What did the ninth record say?
Diffraction record for GePd5Pt4. The powder diffractogram is simulated, not measured: it uses a DFT-relaxed cell (GGA-PBE, Alexandria) and Cu Kα.

Most intense lines, 2θ from 10° to 90°, in order of rising 2θ:
2θ (°)	d [Å]	I/Imax	(hkl)
15.04	5.890	21	2 0 -1
29.69	3.009	22	1 1 1
39.62	2.275	57	5 1 -1
40.70	2.217	33	4 0 -3
41.17	2.192	100	1 1 2
41.59	2.172	51	5 1 -2
44.62	2.031	28	6 0 0
45.31	2.001	40	0 2 0
62.53	1.485	19	4 2 -3
65.48	1.425	18	6 2 0

Structural model:
```
data_GePd5Pt4
_chemical_formula_sum 'Ge2 Pd10 Pt8'
_symmetry_space_group_name_H-M 'C 1 2/m 1'
_symmetry_Int_Tables_number 12
_symmetry_space_group_name_Hall '-C 2y'
_cell_length_a 13.8624
_cell_length_b 4.0029
_cell_length_c 6.7807
_cell_angle_alpha 90.00
_cell_angle_beta 118.49
_cell_angle_gamma 90.00
loop_
_atom_site_label
_atom_site_fract_x
_atom_site_fract_y
_atom_site_fract_z
_atom_site_occupancy
Ge1 0.0000 0.0000 0.0000 1
Pd1 0.0000 0.0000 0.5000 1
Pd2 0.1538 0.5000 0.6859 1
Pd3 0.1976 0.5000 0.1189 1
Pt1 0.0159 0.5000 0.2299 1
Pt2 0.1757 0.0000 0.4018 1
```

Question: Number 11 is which compound?
Answer: Ge2PdPt